No. 1
Simulated powder diffractogram of LiTmTh for copper Kα, from a crystal structure in Alexandria, relaxed with GGA-PBE.
Lines closer than 0.1° are merged.

Principal peaks in the range 10 to 80 degrees two-theta, sorted by position:
hkl 1 0 2, 28.6°, rel. 87; hkl 1 0 3, 32.7°, rel. 100; hkl 1 1 0, 35.5°, rel. 51; hkl 1 1 5, 50.8°, rel. 33; hkl 2 1 2, 59.5°, rel. 23; hkl 2 1 3, 61.9°, rel. 33

Structure:
Lattice parameters (Å, degrees): 3.581 3.581 12.759 90.00 90.00 90.00
Space group P4/nmm (No. 129, origin choice 2)
Symmetry-distinct sites (fractional):
Li1 0.250 0.250 0.052
Tm1 0.250 0.250 0.785
Th1 0.250 0.250 0.404

No. 2
Simulated powder diffractogram of BaAlHgAu6 for copper Kα, from a crystal structure in Alexandria, relaxed with GGA-PBE.
Lines closer than 0.1° are merged.

Principal peaks in the range 10 to 80 degrees two-theta, sorted by position:
hkl 2 0 2, 25.4°, rel. 47; hkl 2 2 0, 29.3°, rel. 74; hkl 3 0 3, 38.5°, rel. 49; hkl 0 4 0, 39.7°, rel. 56; hkl 2 2 4, 40.0°, rel. 100; hkl 0 2 6, 45.2°, rel. 51

Structure:
Lattice parameters (Å, degrees): 8.220 9.073 13.415 90.00 90.00 90.00
Space group Imma (No. 74)
Symmetry-distinct sites (fractional):
Ba1 0.000 0.250 0.136
Al1 0.000 0.000 0.500
Hg1 0.250 0.250 0.750
Au1 0.000 0.250 0.415
Au2 0.000 0.250 0.895
Au3 0.183 0.013 0.345

No. 3
Simulated powder diffractogram of K3GaBr for copper Kα, from a crystal structure in Alexandria, relaxed with GGA-PBE.
Lines closer than 0.1° are merged.

Principal peaks in the range 10 to 80 degrees two-theta, sorted by position:
hkl 1 1 0, 20.0°, rel. 78; hkl 1 1 1, 24.5°, rel. 34; hkl 2 0 0, 28.4°, rel. 100; hkl 2 1 1, 35.0°, rel. 39; hkl 2 2 0, 40.6°, rel. 72; hkl 4 2 0, 66.5°, rel. 30

Structure:
Lattice parameters (Å, degrees): 6.285 6.285 6.285 90.00 90.00 90.00
Space group Pm-3m (No. 221)
Symmetry-distinct sites (fractional):
K1 0.000 0.000 0.500
Ga1 0.500 0.500 0.500
Br1 0.000 0.000 0.000

No. 4
Simulated powder diffractogram of TbPaFeN4 for copper Kα, from a crystal structure in Alexandria, relaxed with GGA-PBE.
Lines closer than 0.1° are merged.

Principal peaks in the range 10 to 80 degrees two-theta, sorted by position:
hkl 1 0 1, 25.1°, rel. 45; hkl 1 0 3, 32.9°, rel. 100; hkl 1 1 0, 34.2°, rel. 64; hkl 1 1 4, 45.9°, rel. 31; hkl 2 0 0, 49.1°, rel. 28; hkl 2 1 3, 60.4°, rel. 37

Structure:
Lattice parameters (Å, degrees): 3.708 3.708 12.016 90.00 90.00 90.00
Space group I4mm (No. 107)
Symmetry-distinct sites (fractional):
Tb1 0.000 0.000 0.000
Pa1 0.000 0.000 0.718
Fe1 0.000 0.000 0.360
N1 0.000 0.000 0.188
N2 0.000 0.000 0.538
N3 0.000 0.500 0.353